[1]
This entry pairs a crystal structure of RbSi with its simulated X-ray powder pattern. Radiation: CuKα. Structure: DFT lattice parameters and positions (GGA-PBE).
Peak positions follow from Bragg's law for the DFT cell and can differ from measured ones.

Principal peaks in the range 15° ≤ 2θ ≤ 90°, low angle first:
| index | two_theta | d [Å] | I (rel.) |
| --- | --- | --- | --- |
| 0 2 0 | 18.07 | 4.909 | 43 |
| 0 0 2 | 19.19 | 4.624 | 27 |
| 1 1 0 | 24.32 | 3.660 | 55 |
| 0 2 2 | 26.48 | 3.366 | 90 |
| 1 1 2 | 31.16 | 2.870 | 100 |
| 1 3 0 | 35.65 | 2.519 | 46 |
| 1 3 4 | 53.85 | 1.703 | 51 |
| 1 5 2 | 55.96 | 1.643 | 24 |

Cell and atoms:
```
RbSi
1.0
3.945 0.000 0.000
0.000 9.817 0.000
0.000 0.000 9.249
Rb Si
4 4
Direct
0.250 0.249 0.000
0.250 0.251 0.500
0.750 0.749 0.500
0.750 0.751 0.000
0.250 0.566 0.249
0.250 0.934 0.749
0.750 0.066 0.749
0.750 0.434 0.249
```



[2]
This entry pairs a crystal structure of RbTaSi2 with its simulated X-ray powder pattern. Radiation: CuKα. Structure: DFT lattice parameters and positions (GGA-PBE).
Peak positions follow from Bragg's law for the DFT cell and can differ from measured ones.

Principal peaks in the range 15° ≤ 2θ ≤ 90°, low angle first:
| index | two_theta | d [Å] | I (rel.) |
| --- | --- | --- | --- |
| 1 0 1 | 15.92 | 5.568 | 33 |
| 0 0 4 | 22.54 | 3.945 | 19 |
| 1 1 2 | 23.97 | 3.713 | 100 |
| 2 0 0 | 30.03 | 2.976 | 28 |
| 2 0 4 | 37.87 | 2.375 | 38 |
| 1 1 6 | 40.45 | 2.230 | 25 |
| 2 2 4 | 49.07 | 1.857 | 22 |
| 3 1 2 | 49.81 | 1.831 | 28 |

Cell and atoms:
```
RbTaSi2
1.0
5.951 0.000 0.000
0.000 5.951 0.000
0.000 0.000 15.779
Rb Ta Si
4 4 8
Direct
0.000 0.250 0.375
0.000 0.750 0.625
0.500 0.250 0.125
0.500 0.750 0.875
0.000 0.250 0.875
0.000 0.750 0.125
0.500 0.250 0.625
0.500 0.750 0.375
0.000 0.000 0.000
0.000 0.500 0.000
0.250 0.250 0.750
0.250 0.750 0.250
0.500 0.000 0.500
0.500 0.500 0.500
0.750 0.250 0.750
0.750 0.750 0.250
```



- Number 1 is which compound?
  RbSi